Structure and computed XRD peak list of Pr2Ge7Rh12 (a DFT-relaxed cell (PBE, Alexandria); λ = 1.5418 Å (Cu Kα)).
Neutral-atom scattering factors, no anomalous dispersion.

Atomic structure:
```
21
Lattice="10.002 0.000 0.000 -5.001 8.662 0.000 0.000 0.000 3.949" Properties=species:S:1:pos:R:3 pbc="T T T"
Pr 0.000 0.000 0.000
Pr 0.000 5.774 1.975
Ge -2.445 5.351 0.000
Ge 2.455 0.358 1.975
Ge 1.589 3.868 0.000
Ge 0.856 8.104 0.000
Ge 5.001 2.887 0.000
Ge 4.083 6.357 1.975
Ge 8.464 1.947 1.975
Rh -3.379 6.687 1.975
Rh -0.877 3.430 0.000
Rh 0.900 2.392 1.975
Rh -1.592 7.706 0.000
Rh 2.878 1.803 0.000
Rh 4.895 0.812 1.975
Rh 3.257 4.016 1.975
Rh 2.469 6.188 0.000
Rh 2.479 8.245 1.975
Rh 7.002 1.591 0.000
Rh 5.123 5.268 0.000
Rh 6.850 3.833 1.975
```

Most intense lines, 2θ = 10–90°, most intense first:
| d [Å] | Position (°2θ) | intensity |
| --- | --- | --- |
| 2.520 | 35.62 | 100.0 |
| 1.975 | 45.96 | 22.7 |
| 1.890 | 48.14 | 20.9 |
| 2.052 | 44.12 | 20.4 |
| 1.365 | 68.75 | 14.1 |
| 1.221 | 78.28 | 10.3 |
| 1.987 | 45.65 | 10.0 |
| 2.331 | 38.63 | 9.5 |
| 1.181 | 81.52 | 8.7 |
| 2.165 | 41.71 | 8.7 |